1.
Calculated X-ray powder pattern of K3Pu2Br9 for Cu Kα, from a DFT-relaxed cell (GGA-PBE, Alexandria).
No peak broadening, texture or thermal motion is included.

Atomic structure:
a b c (Å): 13.8511 13.8511 19.2482
angles (deg): 90.00 90.00 120.00
Space group R-3c (No. 167, hexagonal axes)
One atom of each set of equivalent atoms:
K 0.0000 0.3034 0.2500 x18
Pu 0.0000 0.0000 0.1466 x12
Br 0.0000 0.1560 0.7500 x18
Br 0.0297 0.1963 0.4155 x36

Largest 10 diffraction maxima, in order of rising 2θ, 2θ = 15–90°:
hkl 1 0 4, d = 4.466 Å, I = 337
hkl 0 2 4, d = 3.753 Å, I = 382
hkl 2 1 4, d = 3.300 Å, I = 237
hkl 2 2 3, d = 3.047 Å, I = 1000
hkl 1 3 4, d = 2.737 Å, I = 412
hkl 4 1 0, d = 2.618 Å, I = 486
hkl 0 3 6, d = 2.502 Å, I = 285
hkl 3 2 4, d = 2.389 Å, I = 267
hkl 2 2 6, d = 2.354 Å, I = 595
hkl 6 0 0, d = 1.999 Å, I = 382

=====

2.
Calculated X-ray powder pattern of K3Pu2Br8 for Cu Kα, from a DFT-relaxed cell (GGA-PBE, Alexandria).
No peak broadening, texture or thermal motion is included.

Atomic structure:
a b c (Å): 16.6788 8.5107 7.6756
angles (deg): 90.00 109.68 90.00
Space group C2/m (No. 12)
One atom of each set of equivalent atoms:
K 0.0000 0.0000 0.0000 x2
K 0.0000 0.2699 0.5000 x4
Pu 0.2418 0.5000 0.1617 x4
Br 0.1123 0.5000 0.3302 x4
Br 0.1324 0.0000 0.4646 x4
Br 0.1380 0.2397 0.9175 x8

Largest 10 diffraction maxima, in order of rising 2θ, 2θ = 15–90°:
hkl 1 1 -1, d = 5.673 Å, I = 1000
hkl 1 1 1, d = 4.826 Å, I = 726
hkl 3 1 -1, d = 4.400 Å, I = 513
hkl 1 1 2, d = 3.067 Å, I = 395
hkl 4 2 -1, d = 2.942 Å, I = 569
hkl 6 0 -2, d = 2.571 Å, I = 364
hkl 3 1 2, d = 2.482 Å, I = 402
hkl 4 2 1, d = 2.477 Å, I = 544
hkl 2 2 -3, d = 2.192 Å, I = 459
hkl 0 4 0, d = 2.127 Å, I = 382

=====

Q: Which formula does entry 2 have?
A: K3Pu2Br8